The following is a simulated powder diffractogram of TbPrCd2P4. It was derived from DFT lattice parameters and positions (GGA-PBE), using Cu Kα X-rays.

abc: 3.9743 3.9743 10.4113
angles: 90.00 90.00 90.00
Element x y z (fractional)
Tb: 0.0000 0.0000 0.0000
Pr: 0.5000 0.5000 0.4178
Cd: 0.0000 0.5000 0.7149
Cd: 0.5000 0.0000 0.7149
P: 0.0000 0.0000 0.5198
P: 0.0000 0.5000 0.2024
P: 0.5000 0.0000 0.2024
P: 0.5000 0.5000 0.9113

Principal peaks in the range 2θ from 10° to 90°, sorted by position:
hkl 1 0 1, 2θ = 23.97°, intensity 43
hkl 0 0 3, 2θ = 25.67°, intensity 18
hkl 1 0 2, 2θ = 28.25°, intensity 19
hkl 1 1 1, 2θ = 33.02°, intensity 18
hkl 1 1 2, 2θ = 36.33°, intensity 100
hkl 1 0 4, 2θ = 41.47°, intensity 19
hkl 2 0 0, 2θ = 45.65°, intensity 31
hkl 3 1 2, 2θ = 78.25°, intensity 21